Calculated XRD peak list
Compound: Sr3Rh2
Radiation: Cu Kα
Structure: a DFT-relaxed cell (GGA-PBE, Alexandria)
No peak broadening, texture or thermal motion is included.

Structural model:
Cell: 7.924 7.924 4.699 Å, 90.00 90.00 146.49°
Fractional positions:
Sr 0.000 0.000 0.000
Sr 0.345 0.655 0.500
Sr 0.655 0.345 0.500
Rh 0.217 0.783 0.000
Rh 0.783 0.217 0.000

Largest 10 diffraction maxima, in order of falling intensity, 10° ≤ 2θ ≤ 90°:
two_theta	d_spacing	Rel. int.
11.7	7.587	100
27.9	3.202	95
30.3	2.952	92
40.5	2.226	63
32.6	2.749	51
50.5	1.807	43
38.3	2.349	43
39.4	2.284	39
35.5	2.528	35
56.2	1.638	28